The following is a calculated powder XRD pattern of MgV2O4. It was derived from DFT lattice parameters and positions (GGA+U), using CuKα.

Crystal structure
```
data_MgV2O4
_space_group_name_H-M_alt 'P 3 m 1'
_space_group_IT_number 156
_cell_length_a 6.0593
_cell_length_b 6.0593
_cell_length_c 14.8336
_cell_angle_alpha 90.00
_cell_angle_beta 90.00
_cell_angle_gamma 120.00
loop_
_space_group_symop_operation_xyz
'x,y,z'
'-y,x-y,z'
'-x+y,-x,z'
'-y,-x,z'
'-x+y,y,z'
'x,x-y,z'
loop_
_atom_site_label
_atom_site_fract_x
_atom_site_fract_y
_atom_site_fract_z
Mg1 0.0000 0.0000 0.0000
Mg2 0.0000 0.0000 0.2438
Mg3 0.0000 0.0000 0.6209
Mg4 0.3333 0.6667 0.2885
Mg5 0.3333 0.6667 0.9154
Mg6 0.6667 0.3333 0.5778
V1 0.0032 0.5016 0.1239
V2 0.1641 0.3282 0.4570
V3 0.3333 0.6667 0.6659
V4 0.3356 0.1678 0.7904
V5 0.6667 0.3333 0.3339
V6 0.6667 0.3333 0.9584
O1 0.0000 0.0000 0.3824
O2 0.0000 0.0000 0.8621
O3 0.0197 0.5099 0.3774
O4 0.1583 0.3167 0.7106
O5 0.1787 0.3575 0.1999
O6 0.3100 0.1550 0.5351
O7 0.3333 0.6667 0.0480
O8 0.3333 0.6667 0.5315
O9 0.3602 0.1801 0.0435
O10 0.5134 0.0268 0.8705
O11 0.6667 0.3333 0.2021
O12 0.6667 0.3333 0.7168
```

Principal peaks in the range 2θ = 15–90°, most intense first:
hkl 0 2 1, 2θ 34.73, intensity 100
hkl 2 2 0, 2θ 61.20, intensity 57
hkl 0 2 4, 2θ 42.19, intensity 43
hkl 0 2 7, 2θ 55.75, intensity 38
hkl 0 0 3, 2θ 17.93, intensity 37
hkl 1 0 4, 2θ 29.49, intensity 21
hkl 4 0 7, 2θ 87.44, intensity 16
hkl 4 0 1, 2θ 72.32, intensity 10
hkl 2 1 4, 2θ 52.31, intensity 7
hkl 4 0 4, 2θ 77.13, intensity 6
hkl 2 0 2, 2θ 36.32, intensity 5
hkl 0 1 2, 2θ 20.74, intensity 5